[1]
For CoSiO6F6, a DFT-relaxed cell (PBE+U, Alexandria) gives the computed X-ray diffraction stick pattern in this record (Cu Kα, 1.54184 Å).

Principal peaks in the range 2θ = 10–90°, in order of rising 2θ:
| 2θ/deg | I_rel | index |
| --- | --- | --- |
| 21.60 | 66 | 0 2 0 |
| 21.75 | 100 | 1 1 -1 |
| 22.80 | 96 | 1 1 1 |
| 24.00 | 43 | 0 0 2 |
| 38.01 | 30 | 2 2 0 |
| 40.29 | 19 | 1 1 -3 |

abc: 5.8005 8.2268 7.4300
angles: 90.00 93.59 90.00
Space group P2_1/c (No. 14)
Asymmetric unit:
Co  0.0000  0.0000  0.0000 (multiplicity 2)
Si  0.5000  0.0000  0.5000 (multiplicity 2)
O  0.0525  0.0534  0.7727 (multiplicity 4)
O  0.0985  0.1773  0.1202 (multiplicity 4)
O  0.2856  0.5880  0.5165 (multiplicity 4)
F  0.2701  0.6349  0.9826 (multiplicity 4)
F  0.3181  0.1507  0.4286 (multiplicity 4)
F  0.4456  0.0399  0.7222 (multiplicity 4)

[2]
For CoSnO6F6, a DFT-relaxed cell (PBE+U, Alexandria) gives the computed X-ray diffraction stick pattern in this record (Cu Kα, 1.54184 Å).

Principal peaks in the range 2θ = 10–90°, in order of rising 2θ:
| 2θ/deg | I_rel | index |
| --- | --- | --- |
| 19.57 | 92 | 1 1 0 |
| 19.68 | 100 | 0 1 1 |
| 21.74 | 59 | 1 0 1 |
| 22.11 | 55 | 1 0 -1 |
| 24.83 | 41 | 1 -1 0 |
| 39.71 | 37 | -1 2 1 |

abc: 5.8012 5.8992 5.9656
angles: 78.26 86.30 76.19
Space group P-1 (No. 2)
Asymmetric unit:
Co  0.0000  0.0000  0.0000 (multiplicity 1)
Sn  0.5000  0.5000  0.5000 (multiplicity 1)
O  0.0348  0.1807  0.7193 (multiplicity 2)
O  0.2449  0.7723  0.9365 (multiplicity 2)
O  0.2460  0.0763  0.1061 (multiplicity 2)
F  0.2544  0.4807  0.2844 (multiplicity 2)
F  0.3105  0.3696  0.7695 (multiplicity 2)
F  0.3168  0.8318  0.5165 (multiplicity 2)

[3]
For CoTcO4F, a DFT-relaxed cell (PBE+U, Alexandria) gives the computed X-ray diffraction stick pattern in this record (Cu Kα, 1.54184 Å).

Principal peaks in the range 2θ = 10–90°, in order of rising 2θ:
| 2θ/deg | I_rel | index |
| --- | --- | --- |
| 13.50 | 62 | 0 0 1 |
| 20.39 | 100 | 0 1 1 |
| 28.52 | 40 | 1 1 1 |
| 30.70 | 36 | 0 2 0 |
| 37.45 | 39 | 2 1 0 |
| 43.80 | 30 | 1 1 -3 |

abc: 5.4209 5.8239 6.7468
angles: 90.00 103.48 90.00
Space group P2_1/m (No. 11)
Asymmetric unit:
Co  0.1701  0.2500  0.4619 (multiplicity 2)
Tc  0.3818  0.7500  0.7190 (multiplicity 2)
O  0.1688  0.5085  0.6718 (multiplicity 4)
O  0.2782  0.2500  0.1977 (multiplicity 2)
O  0.4410  0.7500  0.4653 (multiplicity 2)
F  0.3862  0.7500  0.0054 (multiplicity 2)

[4]
For CoPb2F, a DFT-relaxed cell (PBE+U, Alexandria) gives the computed X-ray diffraction stick pattern in this record (Cu Kα, 1.54184 Å).

Principal peaks in the range 2θ = 10–90°, in order of rising 2θ:
| 2θ/deg | I_rel | index |
| --- | --- | --- |
| 25.69 | 17 | 0 0 4 |
| 26.68 | 100 | 1 1 2 |
| 33.24 | 18 | 2 0 0 |
| 42.47 | 41 | 2 0 4 |
| 45.91 | 24 | 1 1 6 |
| 55.50 | 27 | 3 1 2 |

abc: 5.3913 5.3913 13.8717
angles: 90.00 90.00 90.00
Space group I-42d (No. 122)
Asymmetric unit:
Co  0.0000  0.0000  0.0000 (multiplicity 4)
Pb  0.2420  0.2500  0.6250 (multiplicity 8)
F  0.0000  0.0000  0.5000 (multiplicity 4)

[5]
For RbCoPbF6, a DFT-relaxed cell (PBE+U, Alexandria) gives the computed X-ray diffraction stick pattern in this record (Cu Kα, 1.54184 Å).

Principal peaks in the range 2θ = 10–90°, in order of rising 2θ:
| 2θ/deg | I_rel | index |
| --- | --- | --- |
| 15.52 | 34 | 1 0 0 |
| 23.27 | 100 | 1 1 0 |
| 30.10 | 39 | 0 2 1 |
| 38.39 | 27 | 1 0 -2 |
| 43.99 | 44 | 2 1 2 |
| 49.54 | 28 | 1 3 1 |

abc: 5.7113 5.9332 5.9412
angles: 60.04 89.98 89.95
Space group P1 (No. 1)
Asymmetric unit:
Rb  0.0000  0.0000  0.0000 (multiplicity 1)
Co  0.4996  0.6665  0.6670 (multiplicity 1)
Pb  0.5003  0.3334  0.3332 (multiplicity 1)
F  0.3098  0.4098  0.9279 (multiplicity 1)
F  0.3099  0.6629  0.4099 (multiplicity 1)
F  0.3105  0.9282  0.6631 (multiplicity 1)
F  0.6886  0.4081  0.6643 (multiplicity 1)
F  0.6893  0.6636  0.9272 (multiplicity 1)
F  0.6892  0.9266  0.4094 (multiplicity 1)

[6]
For PmCo2F8, a DFT-relaxed cell (PBE+U, Alexandria) gives the computed X-ray diffraction stick pattern in this record (Cu Kα, 1.54184 Å).

Principal peaks in the range 2θ = 10–90°, in order of rising 2θ:
| 2θ/deg | I_rel | index |
| --- | --- | --- |
| 17.11 | 100 | 1 0 1 |
| 27.11 | 85 | 1 1 2 |
| 34.75 | 22 | 2 1 1 |
| 42.61 | 25 | 2 1 3 |
| 46.00 | 27 | 2 0 4 |
| 51.55 | 29 | 3 1 2 |

abc: 5.9533 5.9533 10.5383
angles: 90.00 90.00 90.00
Space group I422 (No. 97)
Asymmetric unit:
Pm  0.0000  0.0000  0.0000 (multiplicity 2)
Co  0.0000  0.5000  0.2500 (multiplicity 4)
F  0.1173  0.3022  0.8720 (multiplicity 16)

[7]
For CoPtF6, a DFT-relaxed cell (PBE+U, Alexandria) gives the computed X-ray diffraction stick pattern in this record (Cu Kα, 1.54184 Å).

Principal peaks in the range 2θ = 10–90°, in order of rising 2θ:
| 2θ/deg | I_rel | index |
| --- | --- | --- |
| 20.53 | 58 | 1 0 0 |
| 28.11 | 100 | 1 0 2 |
| 35.95 | 20 | 1 1 0 |
| 46.25 | 26 | 2 0 2 |
| 53.73 | 31 | 2 -1 4 |
| 59.93 | 24 | 3 -1 2 |

abc: 4.9962 4.9962 9.3405
angles: 90.00 90.00 120.00
Space group P-31c (No. 163)
Asymmetric unit:
Co  0.3333  0.6667  0.2500 (multiplicity 2)
Pt  0.0000  0.0000  0.0000 (multiplicity 2)
F  0.0054  0.3271  0.1220 (multiplicity 12)

[8]
For RbPuCoF6, a DFT-relaxed cell (PBE+U, Alexandria) gives the computed X-ray diffraction stick pattern in this record (Cu Kα, 1.54184 Å).

Principal peaks in the range 2θ = 10–90°, in order of rising 2θ:
| 2θ/deg | I_rel | index |
| --- | --- | --- |
| 14.59 | 86 | 1 0 1 |
| 17.02 | 44 | 0 0 2 |
| 27.10 | 100 | 1 2 1 |
| 28.52 | 42 | 0 2 2 |
| 29.43 | 55 | 2 0 2 |
| 48.55 | 49 | 2 2 4 |

abc: 7.4679 7.8301 10.4183
angles: 90.00 90.00 90.00
Space group Imma (No. 74)
Asymmetric unit:
Rb  0.0000  0.2500  0.0872 (multiplicity 4)
Pu  0.0000  0.0000  0.5000 (multiplicity 4)
Co  0.2500  0.2500  0.7500 (multiplicity 4)
F  0.0000  0.2500  0.3811 (multiplicity 4)
F  0.0000  0.2500  0.6596 (multiplicity 4)
F  0.2299  0.0611  0.8840 (multiplicity 16)

[9]
For RbCo2F6, a DFT-relaxed cell (PBE+U, Alexandria) gives the computed X-ray diffraction stick pattern in this record (Cu Kα, 1.54184 Å).

Principal peaks in the range 2θ = 10–90°, in order of rising 2θ:
| 2θ/deg | I_rel | index |
| --- | --- | --- |
| 14.68 | 18 | 0 0 1 |
| 24.10 | 100 | 1 0 1 |
| 33.23 | 21 | 1 1 0 |
| 41.47 | 15 | 2 0 1 |
| 45.10 | 46 | 2 -1 2 |
| 54.14 | 20 | 3 -1 1 |

abc: 5.3919 5.3919 6.0351
angles: 90.00 90.00 120.00
Space group P-31m (No. 162)
Asymmetric unit:
Rb  0.0000  0.0000  0.0000 (multiplicity 1)
Co  0.3333  0.6667  0.5000 (multiplicity 2)
F  0.0000  0.3903  0.6813 (multiplicity 6)

[10]
For Rb2CoF4, a DFT-relaxed cell (PBE+U, Alexandria) gives the computed X-ray diffraction stick pattern in this record (Cu Kα, 1.54184 Å).

Principal peaks in the range 2θ = 10–90°, in order of rising 2θ:
| 2θ/deg | I_rel | index |
| --- | --- | --- |
| 25.79 | 100 | 1 1 1 |
| 27.52 | 72 | 0 2 0 |
| 27.96 | 58 | 1 1 -2 |
| 37.02 | 36 | 1 2 -2 |
| 38.81 | 29 | 2 1 1 |
| 41.00 | 42 | 2 2 -1 |

abc: 6.0357 6.4821 7.8647
angles: 90.00 106.16 90.00
Space group P2_1/m (No. 11)
Asymmetric unit:
Rb  0.1102  0.2500  0.1065 (multiplicity 2)
Rb  0.1985  0.7500  0.4979 (multiplicity 2)
Co  0.3741  0.2500  0.7368 (multiplicity 2)
F  0.1921  0.0216  0.7819 (multiplicity 4)
F  0.2984  0.7500  0.1726 (multiplicity 2)
F  0.3149  0.2500  0.4777 (multiplicity 2)

[11]
For Rb2CoF7, a DFT-relaxed cell (PBE+U, Alexandria) gives the computed X-ray diffraction stick pattern in this record (Cu Kα, 1.54184 Å).

Principal peaks in the range 2θ = 10–90°, in order of rising 2θ:
| 2θ/deg | I_rel | index |
| --- | --- | --- |
| 17.58 | 39 | 1 0 1 |
| 27.98 | 60 | 2 0 0 |
| 29.36 | 100 | 1 1 2 |
| 35.60 | 46 | 2 0 2 |
| 39.99 | 49 | 2 2 0 |
| 50.38 | 34 | 3 1 2 |

abc: 6.3769 6.3769 8.2432
angles: 90.00 90.00 90.00
Space group I4/mmm (No. 139)
Asymmetric unit:
Rb  0.0000  0.5000  0.2500 (multiplicity 4)
Co  0.0000  0.0000  0.0000 (multiplicity 2)
F  0.0000  0.0000  0.2244 (multiplicity 4)
F  0.0000  0.0000  0.5000 (multiplicity 2)
F  0.1989  0.1989  0.0000 (multiplicity 8)

[12]
For Rb2CoRhF6, a DFT-relaxed cell (PBE+U, Alexandria) gives the computed X-ray diffraction stick pattern in this record (Cu Kα, 1.54184 Å).

Principal peaks in the range 2θ = 10–90°, in order of rising 2θ:
| 2θ/deg | I_rel | index |
| --- | --- | --- |
| 29.28 | 100 | 1 1 2 |
| 30.08 | 46 | 2 0 0 |
| 40.67 | 22 | 0 0 4 |
| 43.06 | 38 | 2 2 0 |
| 52.92 | 38 | 3 1 2 |
| 60.72 | 24 | 2 2 4 |

abc: 5.9411 5.9411 8.8742
angles: 90.00 90.00 90.00
Space group I4/mmm (No. 139)
Asymmetric unit:
Rb  0.0000  0.5000  0.2500 (multiplicity 4)
Co  0.0000  0.0000  0.0000 (multiplicity 2)
Rh  0.0000  0.0000  0.5000 (multiplicity 2)
F  0.0000  0.0000  0.2229 (multiplicity 4)
F  0.2468  0.2468  0.5000 (multiplicity 8)

Please write out number 8 again, unchanged.
For RbPuCoF6, a DFT-relaxed cell (PBE+U, Alexandria) gives the computed X-ray diffraction stick pattern in this record (Cu Kα, 1.54184 Å).

Principal peaks in the range 2θ = 10–90°, in order of rising 2θ:
| 2θ/deg | I_rel | index |
| --- | --- | --- |
| 14.59 | 86 | 1 0 1 |
| 17.02 | 44 | 0 0 2 |
| 27.10 | 100 | 1 2 1 |
| 28.52 | 42 | 0 2 2 |
| 29.43 | 55 | 2 0 2 |
| 48.55 | 49 | 2 2 4 |

abc: 7.4679 7.8301 10.4183
angles: 90.00 90.00 90.00
Space group Imma (No. 74)
Asymmetric unit:
Rb  0.0000  0.2500  0.0872 (multiplicity 4)
Pu  0.0000  0.0000  0.5000 (multiplicity 4)
Co  0.2500  0.2500  0.7500 (multiplicity 4)
F  0.0000  0.2500  0.3811 (multiplicity 4)
F  0.0000  0.2500  0.6596 (multiplicity 4)
F  0.2299  0.0611  0.8840 (multiplicity 16)